For Rb3ClF6, a GGA-PBE-relaxed structure gives the theoretical X-ray powder pattern in this record (Cu Kα (weighted mean of Kα1 and Kα2)).
Neutral-atom scattering factors, no anomalous dispersion.

Principal peaks in the range 10 to 80 degrees two-theta, low angle first:
2θ (°)	Rel. int.
24.10	41
25.01	72
25.59	50
26.24	53
27.10	100
30.77	36
31.23	42
40.50	39
42.90	43
45.87	41

Cell and atoms:
abc: 4.4578 7.1806 14.7455
angles: 90.00 105.01 90.00
Space group P2_1/c (No. 14)
Symmetry-distinct sites (fractional):
1 Rb 0.0000 0.0000 0.0000 x2
2 Rb 0.2134 0.1463 0.7332 x4
3 Cl 0.5000 0.0000 0.5000 x2
4 F 0.1727 0.1174 0.4190 x4
5 F 0.2207 0.5103 0.6865 x4
6 F 0.4027 0.7197 0.9343 x4

---

For Li6ZnSi2, a GGA-PBE-relaxed structure gives the theoretical X-ray powder pattern in this record (Cu Kα (weighted mean of Kα1 and Kα2)).
Neutral-atom scattering factors, no anomalous dispersion.

Principal peaks in the range 10 to 80 degrees two-theta, low angle first:
2θ (°)	Rel. int.
10.35	55
23.15	100
23.93	52
40.19	45
41.61	12
42.24	37
45.37	22
46.89	14
51.87	13
59.74	25

Cell and atoms:
abc: 4.4877 4.4877 25.6370
angles: 90.00 90.00 120.00
Space group R-3m (No. 166, hexagonal axes)
Symmetry-distinct sites (fractional):
1 Li 0.0000 0.0000 0.0783 x6
2 Li 0.0000 0.0000 0.2080 x6
3 Li 0.0000 0.0000 0.3081 x6
4 Zn 0.0000 0.0000 0.5000 x3
5 Si 0.0000 0.0000 0.4092 x6

---

For HgMo3Cl, a GGA-PBE-relaxed structure gives the theoretical X-ray powder pattern in this record (Cu Kα (weighted mean of Kα1 and Kα2)).
Neutral-atom scattering factors, no anomalous dispersion.

Principal peaks in the range 10 to 80 degrees two-theta, low angle first:
2θ (°)	Rel. int.
19.97	5
28.40	23
34.96	100
40.59	66
45.64	4
50.28	10
58.75	43
66.52	4
70.23	39
73.85	15

Cell and atoms:
abc: 4.4451 4.4451 4.4451
angles: 90.00 90.00 90.00
Space group Pm-3m (No. 221)
Symmetry-distinct sites (fractional):
1 Hg 0.0000 0.0000 0.0000 x1
2 Mo 0.0000 0.5000 0.5000 x3
3 Cl 0.5000 0.5000 0.5000 x1

---

For Ac2CeNi9, a GGA-PBE-relaxed structure gives the theoretical X-ray powder pattern in this record (Cu Kα (weighted mean of Kα1 and Kα2)).
Neutral-atom scattering factors, no anomalous dispersion.

Principal peaks in the range 10 to 80 degrees two-theta, low angle first:
2θ (°)	Rel. int.
20.58	16
24.60	18
31.78	52
34.59	52
35.52	53
41.45	100
43.86	19
61.44	20
63.19	18
75.20	19

Cell and atoms:
abc: 5.0543 5.0543 25.7460
angles: 90.00 90.00 120.00
Space group R-3m (No. 166, hexagonal axes)
Symmetry-distinct sites (fractional):
1 Ac 0.0000 0.0000 0.1351 x6
2 Ce 0.0000 0.0000 0.0000 x3
3 Ni 0.0000 0.0000 0.3328 x6
4 Ni 0.0000 0.0000 0.5000 x3
5 Ni 0.0015 0.5007 0.0777 x18

---

For Hf12MnGa6, a GGA-PBE-relaxed structure gives the theoretical X-ray powder pattern in this record (Cu Kα (weighted mean of Kα1 and Kα2)).
Neutral-atom scattering factors, no anomalous dispersion.

Principal peaks in the range 10 to 80 degrees two-theta, low angle first:
2θ (°)	Rel. int.
26.89	22
28.92	60
31.15	23
34.35	59
36.56	100
39.90	23
41.10	33
41.61	28
43.02	35
57.91	22

Cell and atoms:
abc: 11.4839 11.4839 10.8231
angles: 90.00 90.00 120.00
Space group R-3 (No. 148, hexagonal axes)
Symmetry-distinct sites (fractional):
1 Hf 0.0342 0.8453 0.3871 x18
2 Hf 0.0659 0.8752 0.8689 x18
3 Mn 0.0000 0.0000 0.0000 x3
4 Ga 0.0401 0.6154 0.3034 x18

---

For Cs2GaHgSb2, a GGA-PBE-relaxed structure gives the theoretical X-ray powder pattern in this record (Cu Kα (weighted mean of Kα1 and Kα2)).
Neutral-atom scattering factors, no anomalous dispersion.

Principal peaks in the range 10 to 80 degrees two-theta, low angle first:
2θ (°)	Rel. int.
10.45	89
26.11	27
26.58	24
27.12	100
31.98	55
32.38	57
34.37	88
44.01	20
44.62	25
46.29	28

Cell and atoms:
abc: 7.4601 16.9329 7.3038
angles: 90.00 90.00 90.00
Space group Ibam (No. 72)
Symmetry-distinct sites (fractional):
1 Cs 0.2287 0.1640 0.0000 x8
2 Ga 0.0000 0.5000 0.2500 x4
3 Hg 0.0000 0.0000 0.2500 x4
4 Sb 0.2151 0.4141 0.0000 x8

---

Number 5 is which compound? Hf12MnGa6